[1]
For CuAsS, DFT lattice parameters and positions (GGA-PBE) gives the simulated X-ray powder pattern in this record (copper Kα).

Largest 10 diffraction maxima, by angle, 2θ from 15° to 90°:
2θ 28.5, I 956, hkl 0 1 1
2θ 28.6, I 1000, hkl 3 0 1
2θ 29.6, I 189, hkl 1 1 1
2θ 47.4, I 675, hkl 3 1 2
2θ 47.6, I 252, hkl 0 2 0
2θ 47.9, I 211, hkl 6 0 0
2θ 52.2, I 141, hkl 4 1 2
2θ 56.5, I 333, hkl 3 2 1
2θ 56.6, I 212, hkl 6 1 1
2θ 69.8, I 129, hkl 6 2 0

```
data_CuAsS
_space_group_name_H-M_alt 'P n m a'
_space_group_IT_number 62
_space_group_name_Hall '-P 2ac 2n'
_cell_length_a 11.404
_cell_length_b 3.824
_cell_length_c 5.466
_cell_angle_alpha 90.00
_cell_angle_beta 90.00
_cell_angle_gamma 90.00
loop_
_atom_site_label
_atom_site_type_symbol
_atom_site_fract_x
_atom_site_fract_y
_atom_site_fract_z
Cu1 Cu 0.175 0.250 0.062
As1 As 0.014 0.250 0.348
S1 S 0.169 0.750 0.828
```

***

[2]
For CeP5O14, DFT lattice parameters and positions (GGA-PBE) gives the simulated X-ray powder pattern in this record (copper Kα).

Largest 10 diffraction maxima, by angle, 2θ from 15° to 90°:
2θ 17.8, I 381, hkl 1 0 -1
2θ 19.3, I 309, hkl 1 -1 0
2θ 19.5, I 296, hkl 0 0 2
2θ 21.0, I 1000, hkl 0 2 0
2θ 21.3, I 972, hkl 1 1 2
2θ 24.7, I 721, hkl 1 2 -1
2θ 26.4, I 376, hkl 2 0 0
2θ 26.5, I 368, hkl 1 1 -2
2θ 31.8, I 197, hkl 2 -1 1
2θ 33.5, I 259, hkl 1 3 2

```
data_CeP5O14
_space_group_name_H-M_alt 'P 1'
_space_group_IT_number 1
_space_group_name_Hall 'P 1'
_cell_length_a 7.321
_cell_length_b 9.021
_cell_length_c 9.355
_cell_angle_alpha 82.21
_cell_angle_beta 77.28
_cell_angle_gamma 69.88
loop_
_atom_site_label
_atom_site_type_symbol
_atom_site_fract_x
_atom_site_fract_y
_atom_site_fract_z
Ce1 Ce 0.000 0.000 0.000
Ce2 Ce 0.468 0.507 0.466
P1 P 0.263 0.401 0.156
P2 P 0.318 0.957 0.435
P3 P 0.365 0.121 0.673
P4 P 0.375 0.589 0.876
P5 P 0.435 0.053 0.127
P6 P 0.791 0.942 0.678
P7 P 0.801 0.467 0.908
P8 P 0.851 0.622 0.149
P9 P 0.886 0.606 0.600
P10 P 0.898 0.119 0.402
O1 O 0.037 0.487 0.211
O2 O 0.092 0.589 0.524
O3 O 0.111 0.095 0.444
O4 O 0.204 0.123 0.802
O5 O 0.233 0.748 0.912
O6 O 0.264 0.228 0.148
O7 O 0.308 0.797 0.433
O8 O 0.315 0.452 0.987
O9 O 0.331 0.955 0.084
O10 O 0.370 0.264 0.575
O11 O 0.390 0.420 0.250
O12 O 0.396 0.974 0.573
O13 O 0.414 0.531 0.727
O14 O 0.461 0.008 0.300
O15 O 0.572 0.044 0.736
O16 O 0.579 0.580 0.923
O17 O 0.625 0.071 0.045
O18 O 0.668 0.593 0.233
O19 O 0.731 0.603 0.522
O20 O 0.765 0.275 0.455
O21 O 0.791 0.766 0.695
O22 O 0.832 0.303 0.971
O23 O 0.836 0.976 0.505
O24 O 0.885 0.777 0.135
O25 O 0.894 0.568 0.979
O26 O 0.899 0.474 0.741
O27 O 0.923 0.079 0.248
O28 O 0.927 0.971 0.758
```

***

[3]
For NaSr4Sb3O12, DFT lattice parameters and positions (GGA-PBE) gives the simulated X-ray powder pattern in this record (copper Kα).

Largest 10 diffraction maxima, by angle, 2θ from 15° to 90°:
2θ 15.3, I 171, hkl 1 0 -2
2θ 30.5, I 242, hkl 2 0 0
2θ 30.8, I 1000, hkl 2 2 -2
2θ 30.9, I 244, hkl 2 0 -4
2θ 44.0, I 288, hkl 4 0 -4
2θ 44.1, I 155, hkl 0 4 0
2θ 54.4, I 169, hkl 4 2 -2
2θ 54.9, I 337, hkl 2 2 -6
2θ 64.1, I 158, hkl 4 4 -4
2θ 72.9, I 124, hkl 2 6 -2

```
data_NaSr4Sb3O12
_space_group_name_H-M_alt 'P 1 21/c 1'
_space_group_IT_number 14
_space_group_name_Hall '-P 2ybc'
_cell_length_a 8.231
_cell_length_b 8.206
_cell_length_c 11.577
_cell_angle_alpha 90.00
_cell_angle_beta 134.67
_cell_angle_gamma 90.00
loop_
_atom_site_label
_atom_site_type_symbol
_atom_site_fract_x
_atom_site_fract_y
_atom_site_fract_z
Na1 Na 0.000 0.000 0.000
Sr1 Sr 0.032 0.245 0.263
Sr2 Sr 0.457 0.746 0.723
Sb1 Sb 0.000 0.000 0.500
Sb2 Sb 0.500 0.000 0.000
Sb3 Sb 0.500 0.000 0.500
O1 O 0.019 0.728 0.044
O2 O 0.211 0.538 0.961
O3 O 0.238 0.539 0.465
O4 O 0.287 0.041 0.750
O5 O 0.307 0.036 0.272
O6 O 0.481 0.250 0.029
```

***

[4]
For K3InC12O12F18, DFT lattice parameters and positions (GGA-PBE) gives the simulated X-ray powder pattern in this record (copper Kα).

Largest 10 diffraction maxima, by angle, 2θ from 15° to 90°:
2θ 15.5, I 304, hkl 1 0 1
2θ 20.1, I 193, hkl 2 0 0
2θ 21.0, I 1000, hkl 2 -1 1
2θ 25.8, I 234, hkl 0 1 2
2θ 26.7, I 256, hkl 2 1 0
2θ 30.3, I 206, hkl 3 0 0
2θ 36.0, I 532, hkl 3 -2 2
2θ 36.7, I 225, hkl 3 1 0
2θ 38.8, I 282, hkl 3 0 2
2θ 42.8, I 189, hkl 4 -2 2

```
data_K3InC12O12F18
_space_group_name_H-M_alt 'P -3'
_space_group_IT_number 147
_space_group_name_Hall '-P 3'
_cell_length_a 10.2068
_cell_length_b 10.2068
_cell_length_c 7.5112
_cell_angle_alpha 90.00
_cell_angle_beta 90.00
_cell_angle_gamma 120.00
loop_
_atom_site_label
_atom_site_type_symbol
_atom_site_fract_x
_atom_site_fract_y
_atom_site_fract_z
K1 K 0.0000 0.0000 0.0000
K2 K 0.3333 0.6667 0.5791
In1 In 0.0000 0.0000 0.5000
C1 C 0.0526 0.6506 0.1888
C2 C 0.0750 0.7599 0.3471
O1 O 0.0386 0.8597 0.3064
O2 O 0.1195 0.7368 0.4904
F1 F 0.0801 0.7191 0.0269
F2 F 0.0944 0.4671 0.8127
F3 F 0.1424 0.5882 0.2048
```

***

[5]
For BaMgAl3P2H2O14, DFT lattice parameters and positions (GGA-PBE) gives the simulated X-ray powder pattern in this record (copper Kα).

Largest 10 diffraction maxima, by angle, 2θ from 15° to 90°:
2θ 15.3, I 822, hkl 1 1 0
2θ 15.6, I 316, hkl 2 0 -1
2θ 24.7, I 566, hkl 0 0 2
2θ 25.6, I 680, hkl 0 2 0
2θ 25.9, I 632, hkl 3 1 -1
2θ 28.5, I 1000, hkl 3 1 0
2θ 29.0, I 475, hkl 3 1 -2
2θ 32.4, I 241, hkl 1 1 2
2θ 47.3, I 297, hkl 3 3 -2
2θ 53.3, I 246, hkl 6 2 -2

```
data_BaMgAl3P2H2O14
_space_group_name_H-M_alt 'C 1 m 1'
_space_group_IT_number 8
_space_group_name_Hall 'C -2y'
_cell_length_a 11.871
_cell_length_b 6.951
_cell_length_c 8.128
_cell_angle_alpha 90.00
_cell_angle_beta 117.61
_cell_angle_gamma 90.00
loop_
_atom_site_label
_atom_site_type_symbol
_atom_site_fract_x
_atom_site_fract_y
_atom_site_fract_z
Ba1 Ba 0.000 0.000 0.000
Mg1 Mg 0.243 0.500 0.236
Al1 Al 0.257 0.228 0.508
Al2 Al 0.494 0.500 0.510
P1 P 0.135 0.500 0.901
P2 P 0.265 0.000 0.831
H1 H 0.124 0.500 0.529
H2 H 0.364 0.000 0.404
O1 O 0.070 0.500 0.694
O2 O 0.084 0.112 0.390
O3 O 0.107 0.330 0.007
O4 O 0.114 0.000 0.745
O5 O 0.184 0.500 0.472
O6 O 0.284 0.500 0.008
O7 O 0.286 0.000 0.415
O8 O 0.300 0.182 0.745
O9 O 0.329 0.000 0.037
O10 O 0.369 0.327 0.442
```

***

[6]
For NaMo3Se3, DFT lattice parameters and positions (GGA-PBE) gives the simulated X-ray powder pattern in this record (copper Kα).

Largest 10 diffraction maxima, by angle, 2θ from 15° to 90°:
2θ 31.0, I 459, hkl 1 2 0
2θ 36.9, I 1000, hkl 1 2 1
2θ 39.8, I 488, hkl 0 0 2
2θ 40.6, I 295, hkl 3 0 1
2θ 41.6, I 224, hkl 1 0 2
2θ 42.7, I 249, hkl 1 3 0
2θ 45.8, I 433, hkl 2 2 1
2θ 47.4, I 851, hkl 1 3 1
2θ 51.3, I 214, hkl 1 2 2
2θ 82.1, I 232, hkl 5 1 2

```
data_NaMo3Se3
_space_group_name_H-M_alt 'P 63/m'
_space_group_IT_number 176
_space_group_name_Hall '-P 6c'
_cell_length_a 8.8239
_cell_length_b 8.8239
_cell_length_c 4.5259
_cell_angle_alpha 90.00
_cell_angle_beta 90.00
_cell_angle_gamma 120.00
loop_
_atom_site_label
_atom_site_type_symbol
_atom_site_fract_x
_atom_site_fract_y
_atom_site_fract_z
Na1 Na 0.3333 0.6667 0.2500
Mo1 Mo 0.0430 0.8519 0.2500
Se1 Se 0.0848 0.7049 0.7500
```

***

[7]
For IrSe3, DFT lattice parameters and positions (GGA-PBE) gives the simulated X-ray powder pattern in this record (copper Kα).

Largest 10 diffraction maxima, by angle, 2θ from 15° to 90°:
2θ 20.9, I 1000, hkl 1 0 3
2θ 25.9, I 548, hkl 1 -1 3
2θ 29.5, I 688, hkl 0 2 0
2θ 29.7, I 540, hkl 2 0 0
2θ 29.8, I 566, hkl 0 0 6
2θ 32.9, I 705, hkl 0 1 6
2θ 33.4, I 699, hkl 2 0 -3
2θ 36.8, I 802, hkl 1 2 -3
2θ 50.0, I 539, hkl 3 1 3
2θ 50.5, I 586, hkl 3 -1 3

```
data_IrSe3
_space_group_name_H-M_alt 'P 1'
_space_group_IT_number 1
_space_group_name_Hall 'P 1'
_cell_length_a 6.010
_cell_length_b 6.057
_cell_length_c 17.976
_cell_angle_alpha 88.01
_cell_angle_beta 89.90
_cell_angle_gamma 89.72
loop_
_atom_site_label
_atom_site_type_symbol
_atom_site_fract_x
_atom_site_fract_y
_atom_site_fract_z
Ir1 Ir 0.000 0.000 0.000
Ir2 Ir 0.002 0.981 0.670
Ir3 Ir 0.005 0.973 0.335
Ir4 Ir 0.497 0.963 0.502
Ir5 Ir 0.504 0.474 0.335
Ir6 Ir 0.510 0.989 0.169
Ir7 Ir 0.527 0.987 0.835
Se1 Se 0.117 0.087 0.462
Se2 Se 0.122 0.582 0.377
Se3 Se 0.126 0.101 0.125
Se4 Se 0.152 0.977 0.796
Se5 Se 0.370 0.582 0.539
Se6 Se 0.383 0.085 0.628
Se7 Se 0.384 0.100 0.295
Se8 Se 0.384 0.100 0.960
Se9 Se 0.394 0.596 0.203
Se10 Se 0.614 0.355 0.468
Se11 Se 0.626 0.847 0.376
Se12 Se 0.627 0.873 0.044
Se13 Se 0.632 0.369 0.130
Se14 Se 0.634 0.851 0.712
Se15 Se 0.706 0.338 0.820
Se16 Se 0.872 0.825 0.889
Se17 Se 0.879 0.356 0.695
Se18 Se 0.882 0.865 0.548
Se19 Se 0.885 0.363 0.292
Se20 Se 0.892 0.863 0.207
Se21 Se 0.922 0.366 0.942
```

***

[8]
For AgPdAu2, DFT lattice parameters and positions (GGA-PBE) gives the simulated X-ray powder pattern in this record (copper Kα).

Largest 8 diffraction maxima, by angle, 2θ from 15° to 90°:
2θ 27.3, I 98, hkl 2 0 0
2θ 38.9, I 1000, hkl 2 2 0
2θ 48.2, I 31, hkl 2 2 2
2θ 56.2, I 171, hkl 4 0 0
2θ 63.6, I 44, hkl 4 2 0
2θ 70.5, I 347, hkl 4 2 2
2θ 83.6, I 112, hkl 4 4 0
2θ 90.0, I 25, hkl 6 0 0

```
data_AgPdAu2
_space_group_name_H-M_alt 'F m -3 m'
_space_group_IT_number 225
_space_group_name_Hall '-F 4 2 3'
_cell_length_a 6.542
_cell_length_b 6.542
_cell_length_c 6.542
_cell_angle_alpha 90.00
_cell_angle_beta 90.00
_cell_angle_gamma 90.00
loop_
_atom_site_label
_atom_site_type_symbol
_atom_site_fract_x
_atom_site_fract_y
_atom_site_fract_z
Ag1 Ag 0.000 0.000 0.000
Pd1 Pd 0.000 0.000 0.500
Au1 Au 0.250 0.250 0.250
```

***

[9]
For CsSbS2O8, DFT lattice parameters and positions (GGA-PBE) gives the simulated X-ray powder pattern in this record (copper Kα).

Largest 10 diffraction maxima, by angle, 2θ from 15° to 90°:
2θ 21.4, I 442, hkl 0 2 2
2θ 22.2, I 828, hkl 1 1 2
2θ 25.0, I 491, hkl 0 2 3
2θ 25.7, I 1000, hkl 1 1 3
2θ 32.1, I 712, hkl 1 3 0
2θ 33.6, I 270, hkl 2 0 0
2θ 34.8, I 190, hkl 1 1 5
2θ 38.8, I 273, hkl 2 2 1
2θ 39.9, I 607, hkl 1 3 4
2θ 52.8, I 169, hkl 1 5 3

```
data_CsSbS2O8
_space_group_name_H-M_alt 'P 21 21 21'
_space_group_IT_number 19
_space_group_name_Hall 'P 2ac 2ab'
_cell_length_a 5.336
_cell_length_b 9.824
_cell_length_c 15.454
_cell_angle_alpha 90.00
_cell_angle_beta 90.00
_cell_angle_gamma 90.00
loop_
_atom_site_label
_atom_site_type_symbol
_atom_site_fract_x
_atom_site_fract_y
_atom_site_fract_z
Cs1 Cs 0.237 0.162 0.261
Sb1 Sb 0.206 0.513 0.479
S1 S 0.228 0.172 0.902
S2 S 0.237 0.155 0.584
O1 O 0.010 0.071 0.609
O2 O 0.014 0.876 0.392
O3 O 0.032 0.931 0.116
O4 O 0.054 0.120 0.838
O5 O 0.137 0.145 0.993
O6 O 0.225 0.331 0.891
O7 O 0.240 0.281 0.633
O8 O 0.243 0.832 0.990
```